Entry 1:
# LaNd2Dy3
Computed PXRD pattern, λ = 1.5418 Å (Cu Kα). Input: the PBE geometry in Alexandria.
Intensities are scaled so that the largest is 100.

Structure:
abc: 15.3855 5.1339 11.4504
angles: 90.00 116.60 90.00
Space group C2/m (No. 12)
Inequivalent atoms, fractional coordinates:
1 La 0.1258 0.0000 0.1292
2 Nd 0.0411 0.5000 0.8710
3 Nd 0.2055 0.0000 0.8699
4 Dy 0.0428 0.0000 0.3801
5 Dy 0.1228 0.5000 0.6192
6 Dy 0.2107 0.5000 0.3815

The 10 most intense peaks (2θ from 10° to 90°), low angle first:
d (Å), 2θ (°), I (rel.), h k l
2.960, 30.19, 100.0, 3 1 1
2.566, 34.97, 34.0, 0 2 0
2.560, 35.06, 16.6, 0 0 4
1.813, 50.34, 36.0, 6 2 -2
1.547, 59.79, 28.8, 3 3 1
1.544, 59.90, 13.9, 3 1 5
1.480, 62.78, 12.3, 6 2 2
1.177, 81.87, 11.6, 9 3 -1
1.176, 81.95, 5.7, 9 1 3
1.147, 84.43, 8.2, 12 2 -4

=====

Entry 2:
# LaNd4Dy8
Computed PXRD pattern, λ = 1.5418 Å (Cu Kα). Input: the PBE geometry in Alexandria.
Intensities are scaled so that the largest is 100.

Structure:
abc: 7.8556 7.8556 7.8556
angles: 90.00 90.00 90.00
Space group Pm-3m (No. 221)
Inequivalent atoms, fractional coordinates:
1 La 0.0000 0.0000 0.0000
2 Nd 0.0000 0.0000 0.5000
3 Nd 0.5000 0.5000 0.5000
4 Dy 0.2615 0.2615 0.2615

The 10 most intense peaks (2θ from 10° to 90°), low angle first:
d (Å), 2θ (°), I (rel.), h k l
4.535, 19.57, 11.6, 1 1 1
3.928, 22.64, 9.5, 2 0 0
3.513, 25.35, 5.0, 2 1 0
2.777, 32.23, 100.0, 2 2 0
2.369, 37.99, 6.4, 3 1 1
1.964, 46.23, 17.9, 4 0 0
1.604, 57.47, 36.6, 4 2 2
1.389, 67.44, 11.0, 4 4 0
1.242, 76.73, 14.8, 6 2 0
1.134, 85.67, 3.7, 4 4 4

=====

Entry 3:
# La2PmNdDy
Computed PXRD pattern, λ = 1.5418 Å (Cu Kα). Input: the PBE geometry in Alexandria.
Intensities are scaled so that the largest is 100.

Structure:
abc: 6.5322 7.9602 6.8518
angles: 90.00 90.00 90.00
Space group Pmma (No. 51)
Inequivalent atoms, fractional coordinates:
1 La 0.2500 0.2044 0.2068
2 Pm 0.2500 0.5000 0.9097
3 Nd 0.2500 0.0000 0.6821
4 Dy 0.0000 0.5000 0.5000

The 10 most intense peaks (2θ from 10° to 90°), low angle first:
d (Å), 2θ (°), I (rel.), h k l
3.266, 27.31, 26.5, 2 0 0
3.147, 28.36, 42.9, 0 1 2
3.045, 29.33, 100.0, 1 2 1
2.948, 30.32, 21.8, 2 0 1
2.835, 31.56, 35.2, 1 1 2
2.765, 32.38, 43.1, 2 1 1
2.365, 38.05, 31.4, 2 0 2
1.972, 46.02, 24.9, 2 3 1
1.840, 49.54, 24.2, 3 2 1
1.694, 54.15, 19.2, 2 2 3

=====

Entry 4:
# La5PmNd2Dy
Computed PXRD pattern, λ = 1.5418 Å (Cu Kα). Input: the PBE geometry in Alexandria.
Intensities are scaled so that the largest is 100.

Structure:
abc: 9.0521 9.0521 15.8174
angles: 90.00 90.00 90.00
Space group I4/mcm (No. 140)
Inequivalent atoms, fractional coordinates:
1 La 0.0000 0.0000 0.0000
2 La 0.2090 0.2910 0.1404
3 Pm 0.0000 0.0000 0.2500
4 Nd 0.1164 0.3836 0.5000
5 Dy 0.0000 0.5000 0.2500

The 10 most intense peaks (2θ from 10° to 90°), low angle first:
d (Å), 2θ (°), I (rel.), h k l
3.206, 27.83, 100.0, 2 2 0
2.978, 30.01, 95.1, 2 0 4
2.863, 31.25, 12.3, 3 1 0
2.692, 33.29, 11.4, 3 1 2
2.480, 36.23, 17.4, 3 2 1
2.175, 41.52, 22.3, 4 0 2
1.977, 45.90, 11.1, 0 0 8
1.802, 50.66, 22.0, 4 2 4
1.681, 54.59, 19.3, 2 2 8
1.243, 76.64, 12.9, 4 4 8

=====

Entry 5:
# La5PmNdDy2
Computed PXRD pattern, λ = 1.5418 Å (Cu Kα). Input: the PBE geometry in Alexandria.
Intensities are scaled so that the largest is 100.

Structure:
abc: 8.9452 8.9452 16.0574
angles: 90.00 90.00 90.00
Space group I4/mcm (No. 140)
Inequivalent atoms, fractional coordinates:
1 La 0.0000 0.0000 0.0000
2 La 0.1958 0.3042 0.1378
3 Pm 0.0000 0.0000 0.2500
4 Nd 0.0000 0.5000 0.2500
5 Dy 0.1184 0.3816 0.5000

The 10 most intense peaks (2θ from 10° to 90°), low angle first:
d (Å), 2θ (°), I (rel.), h k l
3.204, 27.84, 79.7, 2 1 3
3.163, 28.22, 45.7, 2 2 0
2.987, 29.91, 100.0, 2 0 4
2.829, 31.63, 22.7, 3 1 0
2.504, 35.86, 19.0, 2 1 5
2.452, 36.65, 21.4, 3 2 1
2.152, 41.98, 27.1, 4 0 2
2.009, 45.13, 29.1, 0 0 8
1.790, 51.01, 14.4, 4 2 4
1.695, 54.10, 16.4, 2 2 8

=====

Entry 6:
# LaPm2Nd2Dy2
Computed PXRD pattern, λ = 1.5418 Å (Cu Kα). Input: the PBE geometry in Alexandria.
Intensities are scaled so that the largest is 100.

Structure:
abc: 11.8756 3.5782 12.1012
angles: 90.00 109.55 90.00
Space group C2/m (No. 12)
Inequivalent atoms, fractional coordinates:
1 La 0.0000 0.0000 0.0000
2 Pm 0.0530 0.5000 0.2715
3 Nd 0.1674 0.5000 0.5822
4 Dy 0.2234 0.0000 0.8619

The 10 most intense peaks (2θ from 10° to 90°), low angle first:
d (Å), 2θ (°), I (rel.), h k l
3.178, 28.08, 57.0, 1 1 1
2.974, 30.04, 86.7, 2 0 -4
2.956, 30.24, 74.6, 4 0 -1
2.802, 31.94, 100.0, 1 1 2
2.746, 32.61, 59.9, 2 0 3
2.588, 34.66, 73.7, 3 1 -2
2.411, 37.29, 29.1, 3 1 -3
1.791, 51.00, 56.4, 0 2 0
1.737, 52.70, 24.4, 1 1 -6
1.533, 60.37, 24.9, 2 2 -4